Structure and theoretical PXRD pattern of La3Ta2Se2N5 (a DFT-relaxed cell (GGA-PBE, Alexandria); Cu Kα X-rays).
Peak positions follow from Bragg's law for the DFT cell and can differ from measured ones.

Structural model:
Lattice parameters (Å, degrees): 12.3743 12.3743 12.3743 160.77 160.77 27.32
Positions (direct):
La (0.0000, 0.0000, 0.0000)
La (0.1602, 0.1602, 0.0000)
La (0.8398, 0.8398, 0.0000)
Ta (0.4184, 0.4184, 0.0000)
Ta (0.5816, 0.5816, 0.0000)
Se (0.2978, 0.2978, 0.0000)
Se (0.7022, 0.7022, 0.0000)
N (0.0892, 0.5892, 0.5000)
N (0.4108, 0.9108, 0.5000)
N (0.5000, 0.5000, 0.0000)
N (0.5892, 0.0892, 0.5000)
N (0.9108, 0.4108, 0.5000)

Most intense lines, 2θ from 5° to 70°, most intense first:
d/Å	2theta	intensity
2.642	33.93	1000
2.923	30.59	845
1.628	56.54	467
2.067	43.81	395
3.135	28.47	312
12.024	7.35	175

---

Structure and theoretical PXRD pattern of Ba2ZrBO6 (a DFT-relaxed cell (GGA-PBE, Alexandria); Cu Kα X-rays).
Peak positions follow from Bragg's law for the DFT cell and can differ from measured ones.

Structural model:
Lattice parameters (Å, degrees): 5.9062 5.9062 5.0409 90.00 90.00 120.00
Positions (direct):
Ba (0.3333, 0.6667, 0.1725)
Ba (0.6667, 0.3333, 0.8275)
Zr (0.0000, 0.0000, 0.5000)
B (0.0000, 0.0000, 0.0000)
O (0.1432, 0.2864, 0.7973)
O (0.1432, 0.8568, 0.7973)
O (0.2864, 0.1432, 0.2027)
O (0.7136, 0.8568, 0.7973)
O (0.8568, 0.1432, 0.2027)
O (0.8568, 0.7136, 0.2027)

Most intense lines, 2θ from 5° to 70°, most intense first:
d/Å	2theta	intensity
3.590	24.80	1000
2.953	30.27	670
2.281	39.51	574
2.261	39.87	295
1.805	50.57	276
1.795	50.86	255

---

Structure and theoretical PXRD pattern of SrHgP (a DFT-relaxed cell (GGA-PBE, Alexandria); Cu Kα X-rays).
Peak positions follow from Bragg's law for the DFT cell and can differ from measured ones.

Structural model:
Lattice parameters (Å, degrees): 4.4286 4.2510 8.8574 90.00 100.95 90.00
Positions (direct):
Sr (0.1219, 0.0000, 0.3200)
Sr (0.8781, 0.0000, 0.6800)
Hg (0.0000, 0.5000, 0.0000)
Hg (0.5000, 0.0000, 0.0000)
P (0.3779, 0.5000, 0.5978)
P (0.6221, 0.5000, 0.4022)

Most intense lines, 2θ from 5° to 70°, most intense first:
d/Å	2theta	intensity
8.696	10.17	1000
2.758	32.47	819
2.663	33.66	688
2.899	30.85	412
2.996	29.82	326
4.348	20.43	326

---

Structure and theoretical PXRD pattern of Sm8Ag3Pt2 (a DFT-relaxed cell (GGA-PBE, Alexandria); Cu Kα X-rays).
Peak positions follow from Bragg's law for the DFT cell and can differ from measured ones.

Structural model:
Lattice parameters (Å, degrees): 8.7762 8.7762 6.3929 98.92 98.92 51.16
Positions (direct):
Sm (0.0738, 0.0738, 0.3175)
Sm (0.1071, 0.6142, 0.1319)
Sm (0.3135, 0.3135, 0.6241)
Sm (0.3858, 0.8929, 0.8681)
Sm (0.6142, 0.1071, 0.1319)
Sm (0.6865, 0.6865, 0.3759)
Sm (0.8929, 0.3858, 0.8681)
Sm (0.9262, 0.9262, 0.6825)
Ag (0.3246, 0.6754, 0.5000)
Ag (0.5000, 0.5000, 0.0000)
Ag (0.6754, 0.3246, 0.5000)
Pt (0.2322, 0.2322, 0.1792)
Pt (0.7678, 0.7678, 0.8208)

Most intense lines, 2θ from 5° to 70°, most intense first:
d/Å	2theta	intensity
3.096	28.84	1000
2.760	32.44	534
2.796	32.01	515
2.780	32.20	447
2.393	37.59	430
2.717	32.96	339

---

Please write out number 2 again, unchanged.
Structure and theoretical PXRD pattern of Ba2ZrBO6 (a DFT-relaxed cell (GGA-PBE, Alexandria); Cu Kα X-rays).
Peak positions follow from Bragg's law for the DFT cell and can differ from measured ones.

Structural model:
Lattice parameters (Å, degrees): 5.9062 5.9062 5.0409 90.00 90.00 120.00
Positions (direct):
Ba (0.3333, 0.6667, 0.1725)
Ba (0.6667, 0.3333, 0.8275)
Zr (0.0000, 0.0000, 0.5000)
B (0.0000, 0.0000, 0.0000)
O (0.1432, 0.2864, 0.7973)
O (0.1432, 0.8568, 0.7973)
O (0.2864, 0.1432, 0.2027)
O (0.7136, 0.8568, 0.7973)
O (0.8568, 0.1432, 0.2027)
O (0.8568, 0.7136, 0.2027)

Most intense lines, 2θ from 5° to 70°, most intense first:
d/Å	2theta	intensity
3.590	24.80	1000
2.953	30.27	670
2.281	39.51	574
2.261	39.87	295
1.805	50.57	276
1.795	50.86	255

---

Repeat the fourth record exactly.
Structure and theoretical PXRD pattern of Sm8Ag3Pt2 (a DFT-relaxed cell (GGA-PBE, Alexandria); Cu Kα X-rays).
Peak positions follow from Bragg's law for the DFT cell and can differ from measured ones.

Structural model:
Lattice parameters (Å, degrees): 8.7762 8.7762 6.3929 98.92 98.92 51.16
Positions (direct):
Sm (0.0738, 0.0738, 0.3175)
Sm (0.1071, 0.6142, 0.1319)
Sm (0.3135, 0.3135, 0.6241)
Sm (0.3858, 0.8929, 0.8681)
Sm (0.6142, 0.1071, 0.1319)
Sm (0.6865, 0.6865, 0.3759)
Sm (0.8929, 0.3858, 0.8681)
Sm (0.9262, 0.9262, 0.6825)
Ag (0.3246, 0.6754, 0.5000)
Ag (0.5000, 0.5000, 0.0000)
Ag (0.6754, 0.3246, 0.5000)
Pt (0.2322, 0.2322, 0.1792)
Pt (0.7678, 0.7678, 0.8208)

Most intense lines, 2θ from 5° to 70°, most intense first:
d/Å	2theta	intensity
3.096	28.84	1000
2.760	32.44	534
2.796	32.01	515
2.780	32.20	447
2.393	37.59	430
2.717	32.96	339

---

Repeat the third record exactly.
Structure and theoretical PXRD pattern of SrHgP (a DFT-relaxed cell (GGA-PBE, Alexandria); Cu Kα X-rays).
Peak positions follow from Bragg's law for the DFT cell and can differ from measured ones.

Structural model:
Lattice parameters (Å, degrees): 4.4286 4.2510 8.8574 90.00 100.95 90.00
Positions (direct):
Sr (0.1219, 0.0000, 0.3200)
Sr (0.8781, 0.0000, 0.6800)
Hg (0.0000, 0.5000, 0.0000)
Hg (0.5000, 0.0000, 0.0000)
P (0.3779, 0.5000, 0.5978)
P (0.6221, 0.5000, 0.4022)

Most intense lines, 2θ from 5° to 70°, most intense first:
d/Å	2theta	intensity
8.696	10.17	1000
2.758	32.47	819
2.663	33.66	688
2.899	30.85	412
2.996	29.82	326
4.348	20.43	326